Starting from a DFT-relaxed cell (GGA-PBE, Alexandria), the X-ray powder pattern of HoMgSi2 was computed for Cu Kα.
No peak broadening, texture or thermal motion is included.

```
data_HoMgSi2
_cell_length_a 7.9203
_cell_length_b 3.7393
_cell_length_c 10.6273
_cell_angle_alpha 90.00
_cell_angle_beta 90.00
_cell_angle_gamma 90.00
_symmetry_space_group_name_H-M 'P n m a'
_symmetry_Int_Tables_number 62
_symmetry_space_group_name_Hall '-P 2ac 2n'
loop_
_atom_site_label
_atom_site_fract_x
_atom_site_fract_y
_atom_site_fract_z
_atom_site_occupancy
Ho1 0.1288 0.2500 0.1466 1
Mg1 0.0046 0.7500 0.3914 1
Si1 0.1630 0.2500 0.8177 1
Si2 0.2446 0.7500 0.9455 1
```

The 8 most intense peaks (10 to 90 degrees two-theta), low angle first:
| index | d [Å] | Rel. int. |
| --- | --- | --- |
| 1 0 1 | 6.351 | 67.3 |
| 1 0 2 | 4.413 | 53.3 |
| 2 0 1 | 3.711 | 72.3 |
| 0 1 1 | 3.527 | 52.7 |
| 1 1 2 | 2.853 | 100.0 |
| 2 1 0 | 2.719 | 99.3 |
| 1 1 3 | 2.446 | 95.0 |
| 3 0 3 | 2.115 | 57.5 |

Starting from a DFT-relaxed cell (GGA-PBE, Alexandria), the X-ray powder pattern of VOsRuRh was computed for Cu Kα.
No peak broadening, texture or thermal motion is included.

```
data_VOsRuRh
_cell_length_a 3.8182
_cell_length_b 3.8182
_cell_length_c 7.6492
_cell_angle_alpha 90.00
_cell_angle_beta 90.00
_cell_angle_gamma 90.00
_symmetry_space_group_name_H-M 'I -4 m 2'
_symmetry_Int_Tables_number 119
_symmetry_space_group_name_Hall 'I -4 -2'
loop_
_atom_site_label
_atom_site_fract_x
_atom_site_fract_y
_atom_site_fract_z
_atom_site_occupancy
V1 0.0000 0.0000 0.0000 1
Os1 0.0000 0.5000 0.7500 1
Ru1 0.0000 0.5000 0.2500 1
Rh1 0.0000 0.0000 0.5000 1
```

The 8 most intense peaks (10 to 90 degrees two-theta), low angle first:
| index | d [Å] | Rel. int. |
| --- | --- | --- |
| 0 0 2 | 3.825 | 9.5 |
| 1 0 1 | 3.416 | 16.1 |
| 1 1 2 | 2.206 | 100.0 |
| 2 0 0 | 1.910 | 48.3 |
| 2 2 0 | 1.351 | 30.4 |
| 1 1 6 | 1.153 | 12.2 |
| 3 1 2 | 1.151 | 24.4 |
| 2 2 4 | 1.103 | 10.9 |

Starting from a DFT-relaxed cell (GGA-PBE, Alexandria), the X-ray powder pattern of CaNd2Tl was computed for Cu Kα.
No peak broadening, texture or thermal motion is included.

```
data_CaNd2Tl
_cell_length_a 5.6692
_cell_length_b 7.1021
_cell_length_c 6.2807
_cell_angle_alpha 90.00
_cell_angle_beta 90.00
_cell_angle_gamma 90.00
_symmetry_space_group_name_H-M 'P m m n'
_symmetry_Int_Tables_number 59
loop_
_symmetry_equiv_pos_as_xyz
'x,y,z'
'-x,-y,-z'
'-x+1/2,-y+1/2,z'
'x+1/2,y+1/2,-z'
'x+1/2,-y,-z'
'-x+1/2,y,z'
'-x,y+1/2,-z'
'x,-y+1/2,z'
loop_
_atom_site_label
_atom_site_fract_x
_atom_site_fract_y
_atom_site_fract_z
_atom_site_occupancy
Ca1 0.2500 0.2500 0.1499 1
Nd1 0.2500 0.0046 0.6776 1
Tl1 0.2500 0.7500 0.1721 1
```

The 8 most intense peaks (10 to 90 degrees two-theta), low angle first:
| index | d [Å] | Rel. int. |
| --- | --- | --- |
| 0 1 1 | 4.705 | 19.3 |
| 0 2 1 | 3.091 | 19.4 |
| 2 0 0 | 2.835 | 36.0 |
| 1 0 2 | 2.747 | 44.2 |
| 1 2 1 | 2.714 | 100.0 |
| 0 2 3 | 1.803 | 18.5 |
| 3 2 1 | 1.612 | 20.9 |
| 2 2 3 | 1.522 | 21.2 |

Starting from a DFT-relaxed cell (GGA-PBE, Alexandria), the X-ray powder pattern of ThSnSe was computed for Cu Kα.
No peak broadening, texture or thermal motion is included.

```
data_ThSnSe
_cell_length_a 4.2135
_cell_length_b 4.2135
_cell_length_c 18.0263
_cell_angle_alpha 90.00
_cell_angle_beta 90.00
_cell_angle_gamma 90.00
_symmetry_space_group_name_H-M 'I 4/m m m'
_symmetry_Int_Tables_number 139
_symmetry_space_group_name_Hall '-I 4 2'
loop_
_atom_site_label
_atom_site_fract_x
_atom_site_fract_y
_atom_site_fract_z
_atom_site_occupancy
Th1 0.0000 0.0000 0.1439 1
Sn1 0.0000 0.5000 0.0000 1
Se1 0.0000 0.0000 0.3134 1
```

The 8 most intense peaks (10 to 90 degrees two-theta), low angle first:
| index | d [Å] | Rel. int. |
| --- | --- | --- |
| 1 0 1 | 4.103 | 39.1 |
| 1 0 3 | 3.450 | 36.9 |
| 0 0 6 | 3.004 | 42.7 |
| 1 1 2 | 2.829 | 72.7 |
| 1 1 4 | 2.485 | 100.0 |
| 1 0 7 | 2.197 | 42.7 |
| 2 0 0 | 2.107 | 54.2 |
| 2 0 6 | 1.725 | 34.7 |

Starting from a DFT-relaxed cell (GGA-PBE, Alexandria), the X-ray powder pattern of BeAl7 was computed for Cu Kα.
No peak broadening, texture or thermal motion is included.

```
data_BeAl7
_cell_length_a 7.9314
_cell_length_b 7.9314
_cell_length_c 7.9314
_cell_angle_alpha 90.00
_cell_angle_beta 90.00
_cell_angle_gamma 90.00
_symmetry_space_group_name_H-M 'F m -3 m'
_symmetry_Int_Tables_number 225
_symmetry_space_group_name_Hall '-F 4 2 3'
loop_
_atom_site_label
_atom_site_fract_x
_atom_site_fract_y
_atom_site_fract_z
_atom_site_occupancy
Be1 0.0000 0.0000 0.0000 1
Al1 0.0000 0.0000 0.5000 1
Al2 0.0000 0.2500 0.2500 1
```

The 8 most intense peaks (10 to 90 degrees two-theta), low angle first:
| index | d [Å] | Rel. int. |
| --- | --- | --- |
| 1 1 1 | 4.579 | 7.1 |
| 2 0 0 | 3.966 | 3.8 |
| 3 1 1 | 2.391 | 4.0 |
| 2 2 2 | 2.290 | 100.0 |
| 4 0 0 | 1.983 | 47.9 |
| 4 4 0 | 1.402 | 30.8 |
| 6 2 2 | 1.196 | 36.2 |
| 4 4 4 | 1.145 | 10.5 |

Starting from a DFT-relaxed cell (GGA-PBE, Alexandria), the X-ray powder pattern of Ac4LaIn2 was computed for Cu Kα.
No peak broadening, texture or thermal motion is included.

```
data_Ac4LaIn2
_cell_length_a 9.1788
_cell_length_b 7.0237
_cell_length_c 9.1912
_cell_angle_alpha 90.00
_cell_angle_beta 113.78
_cell_angle_gamma 90.00
_symmetry_space_group_name_H-M 'P 1 21/m 1'
_symmetry_Int_Tables_number 11
_symmetry_space_group_name_Hall '-P 2yb'
loop_
_atom_site_label
_atom_site_fract_x
_atom_site_fract_y
_atom_site_fract_z
_atom_site_occupancy
Ac1 0.0589 0.2500 0.0824 1
Ac2 0.2061 0.9999 0.7076 1
Ac3 0.4148 0.2500 0.4412 1
La1 0.3708 0.7500 0.1292 1
In1 0.1578 0.7500 0.3451 1
In2 0.4243 0.2500 0.0777 1
```

The 8 most intense peaks (10 to 90 degrees two-theta), low angle first:
| index | d [Å] | Rel. int. |
| --- | --- | --- |
| 2 0 -2 | 3.847 | 38.1 |
| 2 0 1 | 3.268 | 34.0 |
| 1 2 -1 | 3.195 | 100.0 |
| 1 0 -3 | 3.053 | 97.3 |
| 2 1 1 | 2.963 | 72.5 |
| 3 1 -2 | 2.714 | 40.4 |
| 0 2 2 | 2.695 | 76.3 |
| 1 4 -3 | 1.522 | 33.4 |

Starting from a DFT-relaxed cell (GGA-PBE, Alexandria), the X-ray powder pattern of Ac6Hg3Ru was computed for Cu Kα.
No peak broadening, texture or thermal motion is included.

```
data_Ac6Hg3Ru
_cell_length_a 13.1932
_cell_length_b 13.1932
_cell_length_c 14.8740
_cell_angle_alpha 90.00
_cell_angle_beta 90.00
_cell_angle_gamma 120.00
_symmetry_space_group_name_H-M 'R -3 c'
_symmetry_Int_Tables_number 167
_symmetry_space_group_name_Hall '-R 3 2"c'
loop_
_atom_site_label
_atom_site_fract_x
_atom_site_fract_y
_atom_site_fract_z
_atom_site_occupancy
Ac1 0.0356 0.1930 0.3853 1
Hg1 0.0000 0.3945 0.2500 1
Ru1 0.0000 0.0000 0.0000 1
```

The 8 most intense peaks (10 to 90 degrees two-theta), low angle first:
| index | d [Å] | Rel. int. |
| --- | --- | --- |
| 0 1 2 | 6.233 | 20.5 |
| 1 0 4 | 3.536 | 45.7 |
| 1 3 1 | 3.099 | 100.0 |
| 3 1 2 | 2.915 | 44.6 |
| 2 1 4 | 2.818 | 31.6 |
| 2 2 3 | 2.746 | 92.5 |
| 1 2 5 | 2.450 | 21.2 |
| 1 3 7 | 1.765 | 18.2 |

Starting from a DFT-relaxed cell (GGA-PBE, Alexandria), the X-ray powder pattern of Gd2Fe17C3 was computed for Cu Kα.
No peak broadening, texture or thermal motion is included.

```
data_Gd2Fe17C3
_cell_length_a 8.6597
_cell_length_b 8.6597
_cell_length_c 12.4978
_cell_angle_alpha 90.00
_cell_angle_beta 90.00
_cell_angle_gamma 120.00
_symmetry_space_group_name_H-M 'R -3 m'
_symmetry_Int_Tables_number 166
_symmetry_space_group_name_Hall '-R 3 2"'
loop_
_atom_site_label
_atom_site_fract_x
_atom_site_fract_y
_atom_site_fract_z
_atom_site_occupancy
Gd1 0.0000 0.0000 0.1560 1
Fe1 0.0000 0.0000 0.4047 1
Fe2 0.0000 0.2839 0.5000 1
Fe3 0.0000 0.5000 0.0000 1
Fe4 0.0094 0.5047 0.3474 1
C1 0.0000 0.5000 0.5000 1
```

The 8 most intense peaks (10 to 90 degrees two-theta), low angle first:
| index | d [Å] | Rel. int. |
| --- | --- | --- |
| 1 1 3 | 3.002 | 41.7 |
| 3 0 0 | 2.500 | 40.0 |
| 0 2 4 | 2.400 | 31.4 |
| 2 2 0 | 2.165 | 75.5 |
| 3 0 3 | 2.144 | 100.0 |
| 2 1 4 | 2.099 | 20.9 |
| 0 0 6 | 2.082 | 47.9 |
| 1 4 3 | 1.523 | 20.7 |

Starting from a DFT-relaxed cell (GGA-PBE, Alexandria), the X-ray powder pattern of CsSbS6O18F6 was computed for Cu Kα.
No peak broadening, texture or thermal motion is included.

```
data_CsSbS6O18F6
_cell_length_a 12.3339
_cell_length_b 12.3339
_cell_length_c 12.1334
_cell_angle_alpha 90.00
_cell_angle_beta 90.00
_cell_angle_gamma 120.00
_symmetry_space_group_name_H-M 'R -3'
_symmetry_Int_Tables_number 148
_symmetry_space_group_name_Hall '-R 3'
loop_
_atom_site_label
_atom_site_fract_x
_atom_site_fract_y
_atom_site_fract_z
_atom_site_occupancy
Cs1 0.0000 0.0000 0.0000 1
Sb1 0.0000 0.0000 0.5000 1
S1 0.0559 0.8295 0.6771 1
O1 0.0121 0.1581 0.2336 1
O2 0.0145 0.4949 0.6403 1
O3 0.0649 0.1594 0.5889 1
F1 0.0430 0.2876 0.3928 1
```

The 8 most intense peaks (10 to 90 degrees two-theta), low angle first:
| index | d [Å] | Rel. int. |
| --- | --- | --- |
| 1 0 1 | 8.017 | 21.5 |
| 1 1 0 | 6.167 | 63.3 |
| 0 1 2 | 5.275 | 25.9 |
| 0 0 3 | 4.044 | 20.0 |
| 3 -1 1 | 3.831 | 46.9 |
| 1 2 2 | 3.361 | 100.0 |
| 3 -1 4 | 2.425 | 32.2 |
| 5 -3 2 | 2.272 | 23.5 |

Starting from a DFT-relaxed cell (GGA-PBE, Alexandria), the X-ray powder pattern of Li2Hg was computed for Cu Kα.
No peak broadening, texture or thermal motion is included.

```
data_Li2Hg
_cell_length_a 4.1233
_cell_length_b 4.1233
_cell_length_c 25.4894
_cell_angle_alpha 90.00
_cell_angle_beta 90.00
_cell_angle_gamma 90.00
_symmetry_space_group_name_H-M 'I 41/a m d'
_symmetry_Int_Tables_number 141
loop_
_symmetry_equiv_pos_as_xyz
'x,y,z'
'-x,-y,-z'
'-y+1/4,x+3/4,z+1/4'
'y+1/4,-x+3/4,-z+1/4'
'-x+1/2,-y,z+1/2'
'x+1/2,y,-z+1/2'
'y+1/4,-x+1/4,z+3/4'
'-y+1/4,x+1/4,-z+3/4'
'x,-y,-z'
'-x,y,z'
'-y+1/4,-x+1/4,-z+3/4'
'y+1/4,x+1/4,z+3/4'
'-x+1/2,y,-z+1/2'
'x+1/2,-y,z+1/2'
'y+1/4,x+3/4,-z+1/4'
'-y+1/4,-x+3/4,z+1/4'
'x+1/2,y+1/2,z+1/2'
'-x+1/2,-y+1/2,-z+1/2'
'-y+3/4,x+1/4,z+3/4'
'y+3/4,-x+1/4,-z+3/4'
'-x,-y+1/2,z'
'x,y+1/2,-z'
'y+3/4,-x+3/4,z+1/4'
'-y+3/4,x+3/4,-z+1/4'
'x+1/2,-y+1/2,-z+1/2'
'-x+1/2,y+1/2,z+1/2'
'-y+3/4,-x+3/4,-z+1/4'
'y+3/4,x+3/4,z+1/4'
'-x,y+1/2,-z'
'x,-y+1/2,z'
'y+3/4,x+1/4,-z+3/4'
'-y+3/4,-x+1/4,z+3/4'
loop_
_atom_site_label
_atom_site_fract_x
_atom_site_fract_y
_atom_site_fract_z
_atom_site_occupancy
Li1 0.0000 0.2500 0.1249 1
Li2 0.0000 0.2500 0.2880 1
Hg1 0.0000 0.2500 0.7972 1
```

The 8 most intense peaks (10 to 90 degrees two-theta), low angle first:
| index | d [Å] | Rel. int. |
| --- | --- | --- |
| 0 0 4 | 6.372 | 24.5 |
| 1 0 1 | 4.070 | 100.0 |
| 1 0 5 | 3.206 | 41.8 |
| 1 1 2 | 2.842 | 33.0 |
| 1 0 7 | 2.729 | 44.2 |
| 1 1 6 | 2.404 | 74.9 |
| 2 0 0 | 2.062 | 25.1 |
| 2 1 1 | 1.839 | 23.8 |

Starting from a DFT-relaxed cell (GGA-PBE, Alexandria), the X-ray powder pattern of SmI2F was computed for Cu Kα.
No peak broadening, texture or thermal motion is included.

```
data_SmI2F
_cell_length_a 7.2643
_cell_length_b 4.1944
_cell_length_c 8.7789
_cell_angle_alpha 90.00
_cell_angle_beta 105.25
_cell_angle_gamma 90.00
_symmetry_space_group_name_H-M 'C 1 m 1'
_symmetry_Int_Tables_number 8
_symmetry_space_group_name_Hall 'C -2y'
loop_
_atom_site_label
_atom_site_fract_x
_atom_site_fract_y
_atom_site_fract_z
_atom_site_occupancy
Sm1 0.0000 0.0000 0.0000 1
I1 0.0847 0.5000 0.7413 1
I2 0.2489 0.5000 0.2587 1
F1 0.3334 0.0000 0.0000 1
```

The 8 most intense peaks (10 to 90 degrees two-theta), low angle first:
| index | d [Å] | Rel. int. |
| --- | --- | --- |
| 0 0 1 | 8.470 | 100.0 |
| 1 1 0 | 3.596 | 50.7 |
| 1 1 1 | 3.162 | 50.5 |
| 2 0 -2 | 3.135 | 27.7 |
| 2 0 1 | 2.973 | 37.5 |
| 1 1 -2 | 2.946 | 76.6 |
| 1 1 2 | 2.576 | 45.2 |
| 0 2 0 | 2.097 | 68.2 |

Starting from a DFT-relaxed cell (GGA-PBE, Alexandria), the X-ray powder pattern of Li2LaOsO6 was computed for Cu Kα.
No peak broadening, texture or thermal motion is included.

```
data_Li2LaOsO6
_cell_length_a 5.4397
_cell_length_b 5.5730
_cell_length_c 9.5878
_cell_angle_alpha 90.00
_cell_angle_beta 123.83
_cell_angle_gamma 90.00
_symmetry_space_group_name_H-M 'P 1 21/c 1'
_symmetry_Int_Tables_number 14
_symmetry_space_group_name_Hall '-P 2ybc'
loop_
_atom_site_label
_atom_site_fract_x
_atom_site_fract_y
_atom_site_fract_z
_atom_site_occupancy
Li1 0.1987 0.0178 0.2306 1
La1 0.0000 0.0000 0.5000 1
Os1 0.5000 0.0000 0.0000 1
O1 0.1625 0.1076 0.7829 1
O2 0.2409 0.6316 0.5527 1
O3 0.4841 0.2052 0.5915 1
```

The 8 most intense peaks (10 to 90 degrees two-theta), low angle first:
| index | d [Å] | Rel. int. |
| --- | --- | --- |
| 0 0 2 | 3.982 | 55.2 |
| 1 1 -1 | 3.893 | 100.0 |
| 1 1 1 | 2.796 | 39.8 |
| 0 2 0 | 2.786 | 20.2 |
| 1 1 -3 | 2.771 | 38.9 |
| 2 0 -2 | 2.720 | 20.1 |
| 0 2 2 | 2.283 | 21.0 |
| 1 3 -1 | 1.757 | 21.3 |